(1)
# VInTe2O8
Simulated X-ray diffraction stick pattern, λ = 1.5418 Å (Cu Kα). Input: a crystal structure in the Materials Project, relaxed with GGA+U.
No peak broadening, texture or thermal motion is included.

Largest 10 diffraction maxima, by angle, 2θ from 10° to 80°:
| two_theta | I/Imax |
| --- | --- |
| 10.43 | 24 |
| 11.76 | 19 |
| 17.64 | 23 |
| 20.59 | 28 |
| 25.05 | 25 |
| 26.99 | 100 |
| 27.87 | 90 |
| 31.84 | 38 |
| 34.05 | 21 |
| 47.31 | 20 |

Structure:
Cell: 8.0925 5.2654 18.2441 Å, 90.00 111.56 90.00°
Fractional coordinates of all 48 atoms:
V 0.2178 0.2030 0.0744
V 0.2178 0.2970 0.5744
V 0.7822 0.7030 0.4256
V 0.7822 0.7970 0.9256
In 0.4796 0.2230 0.3257
In 0.4796 0.2770 0.8257
In 0.5204 0.7230 0.1743
In 0.5204 0.7770 0.6743
Te 0.1584 0.7450 0.2222
Te 0.1584 0.7550 0.7222
Te 0.2929 0.6407 0.4307
Te 0.2929 0.8593 0.9307
Te 0.7071 0.1407 0.0693
Te 0.7071 0.3593 0.5693
Te 0.8416 0.2450 0.2778
Te 0.8416 0.2550 0.7778
O 0.0531 0.1319 0.5832
O 0.0531 0.3681 0.0832
O 0.1404 0.5614 0.3231
O 0.1404 0.9386 0.8231
O 0.1603 0.0871 0.9722
O 0.1603 0.4129 0.4722
O 0.2348 0.0323 0.2874
O 0.2348 0.4677 0.7874
O 0.2619 0.5687 0.6416
O 0.2619 0.9313 0.1416
O 0.3839 0.5663 0.2481
O 0.3839 0.9337 0.7481
O 0.4006 0.1023 0.5968
O 0.4006 0.3977 0.0968
O 0.4669 0.1049 0.9303
O 0.4669 0.3951 0.4303
O 0.5331 0.6049 0.5697
O 0.5331 0.8951 0.0697
O 0.5994 0.6023 0.9032
O 0.5994 0.8977 0.4032
O 0.6161 0.0663 0.2519
O 0.6161 0.4337 0.7519
O 0.7381 0.0687 0.8584
O 0.7381 0.4313 0.3584
O 0.7652 0.5323 0.2126
O 0.7652 0.9677 0.7126
O 0.8397 0.5871 0.5278
O 0.8397 0.9129 0.0278
O 0.8596 0.0614 0.1769
O 0.8596 0.4386 0.6769
O 0.9469 0.6319 0.9168
O 0.9469 0.8681 0.4168

=====

(2)
# MgCrCo3O8
Simulated X-ray diffraction stick pattern, λ = 1.5418 Å (Cu Kα). Input: a crystal structure in the Materials Project, relaxed with GGA+U.
No peak broadening, texture or thermal motion is included.

Largest 10 diffraction maxima, by angle, 2θ from 10° to 80°:
| two_theta | I/Imax |
| --- | --- |
| 18.48 | 35 |
| 18.70 | 100 |
| 35.91 | 11 |
| 36.11 | 19 |
| 36.24 | 17 |
| 37.84 | 12 |
| 43.91 | 90 |
| 58.25 | 11 |
| 63.46 | 16 |
| 64.15 | 15 |

Structure:
Cell: 5.8068 5.8068 5.8423 Å, 119.56 119.56 60.10°
Fractional coordinates of all 13 atoms:
Mg 0.0000 0.0000 0.0000
Cr 0.5000 0.5000 0.0000
Co 0.0000 0.5000 0.5000
Co 0.5000 0.0000 0.5000
Co 0.5000 0.5000 0.5000
O 0.2409 0.7140 0.7317
O 0.2519 0.2519 0.2846
O 0.2580 0.2580 0.7148
O 0.2861 0.7591 0.2683
O 0.7140 0.2409 0.7317
O 0.7420 0.7420 0.2852
O 0.7481 0.7481 0.7154
O 0.7591 0.2861 0.2683

=====

(3)
# MgMo2H4Cl4O6
Simulated X-ray diffraction stick pattern, λ = 1.5418 Å (Cu Kα). Input: a crystal structure in the Materials Project, relaxed with GGA+U.
No peak broadening, texture or thermal motion is included.

Largest 10 diffraction maxima, by angle, 2θ from 10° to 80°:
| two_theta | I/Imax |
| --- | --- |
| 14.57 | 100 |
| 20.32 | 22 |
| 21.00 | 44 |
| 25.36 | 22 |
| 25.50 | 65 |
| 32.50 | 32 |
| 33.38 | 16 |
| 38.82 | 16 |
| 41.31 | 16 |
| 49.18 | 16 |

Structure:
Cell: 3.8345 8.7414 8.4625 Å, 90.00 90.12 90.00°
Fractional coordinates of all 17 atoms:
Mg 0.0000 0.0000 0.0000
Mo 0.0513 0.5000 0.2151
Mo 0.4933 0.0000 0.7097
H 0.1637 0.4118 0.8773
H 0.1637 0.5883 0.8773
H 0.3903 0.0903 0.3905
H 0.3903 0.9097 0.3905
Cl 0.0479 0.2153 0.1985
Cl 0.0479 0.7847 0.1985
Cl 0.4687 0.2734 0.6892
Cl 0.4687 0.7266 0.6892
O 0.0564 0.5000 0.4154
O 0.0626 0.5000 0.9336
O 0.4860 0.0000 0.4449
O 0.5008 0.0000 0.9448
O 0.5551 0.5000 0.1775
O 0.9877 0.0000 0.7151